Entry 1:
Computed X-ray diffraction stick pattern
Compound: GdCuSe2ClO6
Radiation: λ = 1.5418 Å (Cu Kα)
Structure: a cell relaxed with GGA-PBE
Lines closer than 0.1° are merged.

Peak list (8 most intense, 5° ≤ 2θ ≤ 70°, low angle first)
(0 1 -1), 2θ 11.18, 7.912 Å, I 49
(-1 1 3), 2θ 25.51, 3.492 Å, I 71
(-1 2 2), 2θ 25.72, 3.463 Å, I 100
(2 -2 0), 2θ 27.84, 3.205 Å, I 73
(1 2 -2), 2θ 28.06, 3.180 Å, I 94
(2 -1 1), 2θ 29.62, 3.016 Å, I 50
(1 -1 3), 2θ 29.76, 3.002 Å, I 100
(-3 3 3), 2θ 45.13, 2.009 Å, I 42

Crystal structure
Cell: 7.093 9.491 12.098 Å, 98.20 106.69 109.82°
Space group P-1 (No. 2)
Inequivalent atoms, fractional coordinates:
Gd 0.162 0.389 0.430 x2
Gd 0.164 0.913 0.915 x2
Cu 0.070 0.139 0.649 x2
Cu 0.083 0.616 0.159 x2
Se 0.283 0.595 0.750 x2
Se 0.289 0.081 0.254 x2
Se 0.466 0.731 0.405 x2
Se 0.480 0.256 0.898 x2
Cl 0.086 0.351 0.027 x2
Cl 0.142 0.874 0.540 x2
O 0.111 0.502 0.602 x2
O 0.141 0.009 0.100 x2
O 0.144 0.193 0.272 x2
O 0.160 0.724 0.765 x2
O 0.197 0.938 0.321 x2
O 0.201 0.470 0.832 x2
O 0.230 0.113 0.803 x2
O 0.242 0.567 0.304 x2
O 0.313 0.292 0.620 x2
O 0.363 0.773 0.181 x2
O 0.482 0.641 0.521 x2
O 0.484 0.859 0.004 x2

Entry 2:
Computed X-ray diffraction stick pattern
Compound: Cu5GeTe4Cl2
Radiation: λ = 1.5418 Å (Cu Kα)
Structure: a cell relaxed with GGA-PBE
Lines closer than 0.1° are merged.

Peak list (8 most intense, 5° ≤ 2θ ≤ 70°, low angle first)
(0 2 0), 2θ 13.75, 6.440 Å, I 33
(0 3 1), 2θ 25.30, 3.520 Å, I 100
(2 1 1), 2θ 27.01, 3.301 Å, I 79
(2 2 2), 2θ 39.19, 2.299 Å, I 36
(4 0 0), 2θ 44.05, 2.056 Å, I 49
(2 4 2), 2θ 46.44, 1.955 Å, I 44
(2 1 3), 2θ 50.27, 1.815 Å, I 22
(4 3 1), 2θ 51.51, 1.774 Å, I 25

Crystal structure
Cell: 8.217 12.880 6.146 Å, 90.00 90.00 90.00°
Space group Amm2 (No. 38)
Inequivalent atoms, fractional coordinates:
Cu 0.000 0.000 0.000 x2
Cu 0.245 0.114 0.610 x8
Ge 0.500 0.000 0.044 x2
Te 0.230 0.000 0.281 x4
Te 0.500 0.171 0.803 x4
Cl 0.000 0.150 0.776 x4

Entry 3:
Computed X-ray diffraction stick pattern
Compound: Cu2H2Cl7
Radiation: λ = 1.5418 Å (Cu Kα)
Structure: a cell relaxed with GGA-PBE
Lines closer than 0.1° are merged.

Peak list (8 most intense, 5° ≤ 2θ ≤ 70°, low angle first)
(0 1 1), 2θ 14.28, 6.204 Å, I 54
(1 0 0), 2θ 15.61, 5.676 Å, I 35
(0 2 1), 2θ 19.38, 4.581 Å, I 45
(1 2 -1), 2θ 20.65, 4.301 Å, I 79
(1 0 -2), 2θ 21.18, 4.195 Å, I 54
(1 1 1), 2θ 25.47, 3.497 Å, I 100
(1 2 -2), 2θ 26.09, 3.416 Å, I 79
(2 4 -2), 2θ 42.02, 2.150 Å, I 36

Crystal structure
Cell: 6.600 11.765 8.490 Å, 90.00 120.69 90.00°
Space group P2_1/c (No. 14)
Inequivalent atoms, fractional coordinates:
Cu 0.115 0.126 0.366 x4
H 0.231 0.612 0.767 x4
Cl 0.000 0.000 0.500 x2
Cl 0.207 0.717 0.325 x4
Cl 0.290 0.509 0.738 x4
Cl 0.337 0.230 0.911 x4

Entry 4:
Computed X-ray diffraction stick pattern
Compound: CuH2Cl5
Radiation: λ = 1.5418 Å (Cu Kα)
Structure: a cell relaxed with GGA-PBE
Lines closer than 0.1° are merged.

Peak list (8 most intense, 5° ≤ 2θ ≤ 70°, low angle first)
(1 0 0), 2θ 15.16, 5.843 Å, I 53
(0 1 0), 2θ 15.50, 5.719 Å, I 43
(0 0 1), 2θ 15.94, 5.560 Å, I 51
(1 0 -1), 2θ 16.73, 5.298 Å, I 35
(1 -1 0), 2θ 17.41, 5.093 Å, I 47
(1 1 -1), 2θ 20.53, 4.327 Å, I 32
(1 0 1), 2θ 26.39, 3.378 Å, I 100
(1 -2 1), 2θ 28.09, 3.176 Å, I 34

Crystal structure
Cell: 6.538 6.902 6.919 Å, 117.55 106.99 99.60°
Space group P1 (No. 1)
Inequivalent atoms, fractional coordinates:
Cu 0.000 0.000 0.000 x1
H 0.329 0.619 0.325 x1
H 0.517 0.556 0.860 x1
Cl 0.188 0.852 0.811 x1
Cl 0.317 0.390 0.705 x1
Cl 0.511 0.809 0.464 x1
Cl 0.853 0.833 0.144 x1
Cl 0.980 0.321 0.050 x1

Entry 5:
Computed X-ray diffraction stick pattern
Compound: K2CuH4Cl4O2
Radiation: λ = 1.5418 Å (Cu Kα)
Structure: a cell relaxed with GGA-PBE
Lines closer than 0.1° are merged.

Peak list (8 most intense, 5° ≤ 2θ ≤ 70°, low angle first)
(1 0 1), 2θ 16.15, 5.488 Å, I 61
(1 1 2), 2θ 27.93, 3.195 Å, I 52
(2 1 1), 2θ 28.63, 3.118 Å, I 30
(2 0 2), 2θ 32.63, 2.744 Å, I 74
(2 2 0), 2θ 33.45, 2.679 Å, I 100
(0 0 4), 2θ 45.59, 1.990 Å, I 22
(4 0 0), 2θ 48.03, 1.894 Å, I 26
(2 2 4), 2θ 57.71, 1.597 Å, I 33

Crystal structure
Cell: 7.577 7.577 7.960 Å, 90.00 90.00 90.00°
Space group P4_2/mnm (No. 136)
Inequivalent atoms, fractional coordinates:
K 0.000 0.500 0.250 x4
Cu 0.000 0.000 0.000 x2
H 0.075 0.075 0.321 x8
Cl 0.213 0.213 0.000 x4
Cl 0.216 0.216 0.500 x4
O 0.000 0.000 0.248 x4